[1]
This entry pairs a crystal structure of LiMgB3H18N2 with its theoretical powder diffractogram. Radiation: Cu Kα (λ = 1.5418 Å). Structure: a structure optimized by DFT (PBE).
Lines closer than 0.1° are merged.

Top 10 peaks for 10 to 80 degrees two-theta, most intense first:
(1 1 0), 22.77 deg, I 1000
(1 0 1), 17.20 deg, I 830
(1 0 0), 13.09 deg, I 483
(1 0 3), 36.35 deg, I 412
(3 0 0), 39.99 deg, I 410
(1 1 1), 25.40 deg, I 366
(2 0 0), 26.35 deg, I 361
(2 1 1), 36.93 deg, I 265
(2 1 3), 49.49 deg, I 210
(2 1 0), 35.10 deg, I 194

Cell and atoms:
a = 7.8102 Å, b = 7.8102 Å, c = 7.9656 Å
α = 90.00°, β = 90.00°, γ = 120.00°
Space group P6_3 (No. 173)
Inequivalent atoms, fractional coordinates:
1 Li 0.0000 0.0000 0.0000
2 Mg 0.3333 0.6667 0.2481
3 B 0.0541 0.3058 0.2491
4 H 0.0224 0.7876 0.8771
5 H 0.0249 0.7895 0.6224
6 H 0.0292 0.4500 0.2488
7 H 0.1267 0.7692 0.2479
8 H 0.2225 0.6858 0.9308
9 H 0.2238 0.6879 0.5657
10 N 0.3333 0.6667 0.5167
11 N 0.3333 0.6667 0.9798


[2]
This entry pairs a crystal structure of LiBeNb2 with its theoretical powder diffractogram. Radiation: Cu Kα (λ = 1.5418 Å). Structure: a structure optimized by DFT (PBE).
Lines closer than 0.1° are merged.

Top 10 peaks for 10 to 80 degrees two-theta, most intense first:
(2 0 0), 25.61 deg, I 1000
(1 1 2), 40.25 deg, I 670
(3 1 2), 55.48 deg, I 505
(2 2 0), 36.53 deg, I 488
(4 2 0), 59.42 deg, I 177
(4 0 0), 52.63 deg, I 164
(5 1 2), 80.00 deg, I 163
(3 3 2), 68.27 deg, I 131
(4 4 0), 77.64 deg, I 49
(0 0 4), 75.57 deg, I 22

Cell and atoms:
a = 6.9564 Å, b = 6.9564 Å, c = 5.0330 Å
α = 90.00°, β = 90.00°, γ = 90.00°
Space group I-42d (No. 122)
Inequivalent atoms, fractional coordinates:
1 Li 0.0000 0.0000 0.0000
2 Be 0.0000 0.0000 0.5000
3 Nb 0.2404 0.2500 0.6250


[3]
This entry pairs a crystal structure of SeBr2 with its theoretical powder diffractogram. Radiation: Cu Kα (λ = 1.5418 Å). Structure: a structure optimized by DFT (PBE).
Lines closer than 0.1° are merged.

Top 10 peaks for 10 to 80 degrees two-theta, most intense first:
(0 2 1), 23.79 deg, I 1000
(1 1 -1), 16.06 deg, I 509
(3 3 0), 45.46 deg, I 293
(0 4 0), 33.90 deg, I 277
(0 4 1), 38.07 deg, I 255
(1 3 -2), 38.26 deg, I 203
(3 1 -1), 31.35 deg, I 189
(0 2 0), 16.77 deg, I 180
(4 0 -2), 40.30 deg, I 158
(4 2 -3), 49.14 deg, I 157

Cell and atoms:
a = 9.0129 Å, b = 10.5744 Å, c = 6.5638 Å
α = 90.00°, β = 126.27°, γ = 90.00°
Space group C2/c (No. 15)
Inequivalent atoms, fractional coordinates:
1 Se 0.0000 0.1674 0.2500
2 Br 0.1975 0.3548 0.6687


[4]
This entry pairs a crystal structure of Er4Pd3Rh with its theoretical powder diffractogram. Radiation: Cu Kα (λ = 1.5418 Å). Structure: a structure optimized by DFT (PBE).
Lines closer than 0.1° are merged.

Top 10 peaks for 10 to 80 degrees two-theta, most intense first:
(1 1 2), 36.84 deg, I 1000
(2 0 0), 36.61 deg, I 510
(3 1 2), 66.06 deg, I 360
(2 2 0), 52.73 deg, I 178
(2 0 4), 66.53 deg, I 176
(2 2 4), 78.40 deg, I 110
(0 0 4), 53.45 deg, I 85
(4 0 0), 77.82 deg, I 56
(1 1 0), 25.66 deg, I 55
(0 0 2), 25.99 deg, I 26

Cell and atoms:
a = 4.9096 Å, b = 4.9096 Å, c = 6.8572 Å
α = 90.00°, β = 90.00°, γ = 90.00°
Space group P4/mmm (No. 123)
Inequivalent atoms, fractional coordinates:
1 Er 0.0000 0.5000 0.2468
2 Pd 0.0000 0.0000 0.0000
3 Pd 0.0000 0.0000 0.5000
4 Pd 0.5000 0.5000 0.5000
5 Rh 0.5000 0.5000 0.0000